Simulated X-ray powder pattern
Compound: La6Tb12Er
Radiation: λ = 1.5418 Å (Cu Kα)
Structure: the PBE geometry in Alexandria
Kinematic intensities with the Lorentz-polarization factor, no thermal factor.

abc: 11.1734 11.1734 17.9838
angles: 90.00 90.00 120.00
Space group R-3m (No. 166, hexagonal axes)
Asymmetric unit:
La 0.0694 0.5347 0.2687 [18 per cell]
Tb 0.1000 0.5500 0.9107 [18 per cell]
Tb 0.1058 0.2117 0.9068 [18 per cell]
Er 0.0000 0.0000 0.5000 [3 per cell]

Largest 8 diffraction maxima, in order of falling intensity, 2θ from 10° to 90°:
hkl 0 3 3, 2θ 31.50, I = 100.0; hkl 0 0 6, 2θ 29.81, I = 20.3; hkl 3 3 6, 2θ 58.36, I = 18.7; hkl 3 3 0, 2θ 48.91, I = 18.7; hkl 3 0 0, 2θ 27.66, I = 18.5; hkl 0 3 6, 2θ 41.11, I = 17.9; hkl 3 0 9, 2θ 53.98, I = 14.1; hkl 6 0 3, 2θ 59.34, I = 12.5